[1]
This entry pairs a crystal structure of SbKr3F11 with its simulated powder X-ray diffraction pattern. Radiation: CuKα. Structure: a crystal structure in the Materials Project, relaxed with PBE.

```
SbKr3F11
1.0
8.269 0.000 0.000
1.024 8.816 0.000
4.054 2.724 7.875
Sb Kr F
2 6 22
Direct
0.210 0.322 0.221
0.790 0.678 0.779
0.183 0.329 0.730
0.264 0.834 0.219
0.310 0.852 0.707
0.690 0.148 0.293
0.736 0.166 0.781
0.817 0.671 0.270
0.012 0.199 0.699
0.040 0.679 0.623
0.138 0.205 0.115
0.174 0.521 0.072
0.185 0.925 0.902
0.238 0.121 0.375
0.275 0.438 0.330
0.354 0.440 0.737
0.438 0.788 0.508
0.456 0.317 0.067
0.497 0.118 0.845
0.503 0.882 0.155
0.544 0.683 0.933
0.562 0.212 0.492
0.646 0.560 0.263
0.725 0.562 0.670
0.762 0.879 0.625
0.815 0.075 0.098
0.826 0.479 0.928
0.862 0.795 0.885
0.960 0.321 0.377
0.988 0.801 0.301
```

Main lines, most intense first (2θ = 15–90°):
d_spacing	Rel. int.
3.938	100
3.569	99
3.698	88
2.597	78
3.715	62
3.486	42
4.166	40
4.324	32
3.136	28
3.679	25

=====

[2]
This entry pairs a crystal structure of LaF2 with its simulated powder X-ray diffraction pattern. Radiation: CuKα. Structure: a crystal structure in the Materials Project, relaxed with PBE.

```
LaF2
1.0
0.000 2.962 2.962
2.962 0.000 2.962
2.962 2.962 0.000
La F
1 2
Direct
0.000 0.000 0.000
0.250 0.250 0.250
0.750 0.750 0.750
```

Main lines, most intense first (2θ = 15–90°):
d_spacing	Rel. int.
3.420	100
2.094	63
1.786	47
2.962	25
1.209	19
1.359	19
1.140	15
1.325	10
1.481	10
1.710	8

=====

[3]
This entry pairs a crystal structure of LiLa2S2O8F3 with its simulated powder X-ray diffraction pattern. Radiation: CuKα. Structure: a crystal structure in the Materials Project, relaxed with PBE.

```
LiLa2S2O8F3
1.0
7.918 -3.511 0.000
7.918 3.511 0.000
-3.747 0.000 7.443
Li La S O F
2 4 4 16 6
Direct
0.093 0.907 0.750
0.907 0.093 0.250
0.287 0.473 0.034
0.473 0.287 0.534
0.527 0.713 0.466
0.713 0.527 0.966
0.089 0.258 0.655
0.258 0.089 0.155
0.742 0.911 0.845
0.911 0.742 0.345
0.024 0.210 0.120
0.034 0.352 0.837
0.104 0.655 0.489
0.210 0.024 0.620
0.221 0.318 0.670
0.318 0.221 0.170
0.345 0.896 0.011
0.352 0.034 0.337
0.648 0.966 0.663
0.655 0.104 0.989
0.682 0.779 0.830
0.779 0.682 0.330
0.790 0.976 0.380
0.896 0.345 0.511
0.966 0.648 0.163
0.976 0.790 0.880
0.194 0.806 0.250
0.411 0.494 0.836
0.494 0.411 0.336
0.506 0.589 0.664
0.589 0.506 0.164
0.806 0.194 0.750
```

Main lines, most intense first (2θ = 15–90°):
d_spacing	Rel. int.
3.130	100
2.954	76
3.454	70
5.361	63
3.536	63
3.406	52
1.994	39
1.920	36
2.709	32
2.095	32

=====

[4]
This entry pairs a crystal structure of La3SiN4F with its simulated powder X-ray diffraction pattern. Radiation: CuKα. Structure: a crystal structure in the Materials Project, relaxed with PBE.

```
La3SiN4F
1.0
9.971 0.000 0.000
0.000 7.738 0.000
0.000 0.000 6.940
La Si N F
12 4 16 4
Direct
0.034 0.250 0.084
0.163 0.025 0.598
0.163 0.475 0.598
0.337 0.525 0.098
0.337 0.975 0.098
0.466 0.750 0.584
0.534 0.250 0.416
0.663 0.025 0.902
0.663 0.475 0.902
0.837 0.525 0.402
0.837 0.975 0.402
0.966 0.750 0.916
0.105 0.750 0.309
0.395 0.250 0.809
0.605 0.750 0.191
0.895 0.250 0.691
0.007 0.750 0.521
0.075 0.556 0.190
0.075 0.944 0.190
0.224 0.250 0.873
0.276 0.750 0.373
0.425 0.056 0.690
0.425 0.444 0.690
0.493 0.250 0.021
0.507 0.750 0.979
0.575 0.556 0.310
0.575 0.944 0.310
0.724 0.250 0.627
0.776 0.750 0.127
0.925 0.056 0.810
0.925 0.444 0.810
0.993 0.250 0.479
0.225 0.750 0.839
0.275 0.250 0.339
0.725 0.750 0.661
0.775 0.250 0.161
```

Main lines, most intense first (2θ = 15–90°):
d_spacing	Rel. int.
3.201	100
2.998	95
2.501	70
3.277	59
2.797	57
3.057	54
3.018	45
2.347	45
2.097	42
1.845	38

=====

[5]
This entry pairs a crystal structure of La3NbSe2O4F2 with its simulated powder X-ray diffraction pattern. Radiation: CuKα. Structure: a crystal structure in the Materials Project, relaxed with PBE.

```
La3NbSe2O4F2
1.0
11.425 0.000 0.000
0.000 4.029 0.000
0.000 0.000 18.262
La Nb Se O F
12 4 8 16 8
Direct
0.004 0.250 0.107
0.066 0.250 0.698
0.206 0.750 0.468
0.294 0.250 0.968
0.434 0.750 0.198
0.496 0.750 0.607
0.504 0.250 0.393
0.566 0.250 0.802
0.706 0.750 0.032
0.794 0.250 0.532
0.934 0.750 0.302
0.996 0.750 0.893
0.192 0.250 0.305
0.308 0.750 0.805
0.692 0.250 0.195
0.808 0.750 0.695
0.007 0.250 0.420
0.216 0.750 0.091
0.284 0.250 0.591
0.493 0.750 0.920
0.507 0.250 0.080
0.716 0.750 0.409
0.784 0.250 0.909
0.993 0.750 0.580
0.052 0.250 0.245
0.170 0.750 0.321
0.186 0.750 0.739
0.218 0.750 0.901
0.282 0.250 0.401
0.314 0.250 0.239
0.330 0.250 0.821
0.448 0.750 0.745
0.552 0.250 0.255
0.670 0.750 0.179
0.686 0.750 0.761
0.718 0.750 0.599
0.782 0.250 0.099
0.814 0.250 0.261
0.830 0.250 0.679
0.948 0.750 0.755
0.062 0.250 0.832
0.070 0.250 0.974
0.430 0.750 0.474
0.438 0.750 0.332
0.562 0.250 0.668
0.570 0.250 0.526
0.930 0.750 0.026
0.938 0.750 0.168
```

Main lines, most intense first (2θ = 15–90°):
d_spacing	Rel. int.
2.896	100
3.223	43
2.015	31
3.479	31
3.097	26
2.330	20
2.822	19
2.190	17
2.856	16
2.045	16

=====

[6]
This entry pairs a crystal structure of LaOF with its simulated powder X-ray diffraction pattern. Radiation: CuKα. Structure: a crystal structure in the Materials Project, relaxed with PBE.

```
LaOF
1.0
4.092 0.000 0.000
0.000 4.092 0.000
0.000 0.000 5.857
La O F
2 2 2
Direct
0.250 0.250 0.214
0.750 0.750 0.786
0.250 0.750 0.000
0.750 0.250 0.000
0.250 0.750 0.500
0.750 0.250 0.500
```

Main lines, most intense first (2θ = 15–90°):
d_spacing	Rel. int.
3.354	100
2.058	36
1.747	31
2.046	21
2.893	19
1.184	11
1.762	10
1.335	8
2.381	8
1.114	7

=====

[7]
This entry pairs a crystal structure of LaOF with its simulated powder X-ray diffraction pattern. Radiation: CuKα. Structure: a crystal structure in the Materials Project, relaxed with PBE.

```
LaOF
1.0
2.031 1.173 6.788
-2.031 1.173 6.788
0.000 -2.345 6.788
La O F
2 2 2
Direct
0.241 0.241 0.241
0.759 0.759 0.759
0.123 0.123 0.123
0.877 0.877 0.877
0.371 0.371 0.371
0.629 0.629 0.629
```

Main lines, most intense first (2θ = 15–90°):
d_spacing	Rel. int.
3.325	100
2.031	39
2.062	35
2.894	34
3.394	31
1.743	27
1.733	15
1.762	12
1.318	12
1.447	10